# 1
Computed powder XRD pattern
Compound: CsBaVS4
Radiation: Cu Kα (λ = 1.5418 Å)
Structure: a PBE-relaxed structure
Lines closer than 0.1° are merged.

Structure:
```
CsBaVS4
1.0
12.453 0.000 0.000
0.000 6.946 0.000
0.000 0.000 9.995
Cs Ba V S
4 4 4 16
Cartesian
0.916 1.737 1.299
5.310 5.210 6.297
7.143 1.737 3.698
11.537 5.210 8.696
1.841 1.737 5.965
4.385 5.210 0.968
8.068 1.737 9.027
10.612 5.210 4.030
2.033 5.210 3.783
4.193 1.737 8.780
8.260 5.210 1.215
10.420 1.737 6.213
0.697 5.210 2.081
0.936 5.210 5.637
2.920 0.003 8.644
2.920 3.470 8.644
3.306 3.477 3.647
3.306 6.943 3.647
5.291 1.737 0.639
5.530 1.737 7.078
6.924 5.210 2.917
7.163 5.210 9.356
9.147 0.003 6.349
9.147 3.470 6.349
9.533 3.477 1.351
9.533 6.943 1.351
11.517 1.737 4.358
11.756 1.737 7.915
```

Top 8 peaks for 5° ≤ 2θ ≤ 70°, by intensity:
23.1 deg, I = 100
27.9 deg, I = 72
25.6 deg, I = 60
32.2 deg, I = 52
19.1 deg, I = 51
30.8 deg, I = 41
23.2 deg, I = 31
34.9 deg, I = 30

# 2
Computed powder XRD pattern
Compound: Tl2NiRu
Radiation: Cu Kα (λ = 1.5418 Å)
Structure: a PBE-relaxed structure
Lines closer than 0.1° are merged.

Structure:
```
Tl2NiRu
1.0
5.285 -1.563 0.000
5.285 1.563 0.000
-1.515 0.000 4.434
Tl Ni Ru
2 1 1
Cartesian
0.000 0.000 0.000
1.369 0.000 2.777
4.082 0.000 2.091
7.763 0.000 0.653
```

Top 8 peaks for 5° ≤ 2θ ≤ 70°, by intensity:
37.9 deg, I = 100
40.3 deg, I = 86
35.9 deg, I = 55
38.7 deg, I = 36
30.0 deg, I = 30
31.0 deg, I = 25
59.1 deg, I = 21
35.0 deg, I = 20

# 3
Computed powder XRD pattern
Compound: Li2Cd7Ni
Radiation: Cu Kα (λ = 1.5418 Å)
Structure: a PBE-relaxed structure
Lines closer than 0.1° are merged.

Structure:
```
Li2Cd7Ni
1.0
4.615 0.000 0.000
-2.307 3.997 0.000
0.000 0.000 11.313
Li Cd Ni
2 7 1
Cartesian
0.000 0.000 0.000
0.000 2.664 7.144
0.000 0.000 3.074
0.000 0.000 8.283
0.000 2.664 1.564
0.000 2.664 4.440
0.000 2.664 9.847
2.307 1.332 0.183
2.307 1.332 5.841
2.307 1.332 2.972
```

Top 8 peaks for 5° ≤ 2θ ≤ 70°, by intensity:
39.0 deg, I = 100
27.3 deg, I = 44
7.8 deg, I = 19
56.4 deg, I = 16
32.6 deg, I = 12
48.3 deg, I = 9
63.8 deg, I = 9
23.6 deg, I = 5

# 4
Computed powder XRD pattern
Compound: Li2In2SiSe6
Radiation: Cu Kα (λ = 1.5418 Å)
Structure: a PBE-relaxed structure
Lines closer than 0.1° are merged.

Structure:
```
Li2In2SiSe6
1.0
6.438 -3.750 0.000
6.438 3.750 0.000
-4.342 0.000 12.054
Li In Si Se
4 4 2 12
Cartesian
4.267 2.970 6.027
8.415 1.473 1.945
6.438 -2.970 0.000
6.244 -1.473 7.972
4.392 0.507 0.079
2.221 -0.507 6.106
3.158 0.720 9.759
5.329 -0.720 3.731
2.430 1.718 3.010
0.259 -1.718 9.037
2.378 1.754 7.462
-0.846 0.174 9.648
4.615 1.853 3.656
1.325 -0.174 3.621
2.321 1.852 11.986
6.548 1.796 6.773
4.549 -1.754 1.435
5.745 0.182 10.001
2.444 -1.853 9.684
7.916 -0.182 3.974
4.492 -1.852 5.959
8.719 -1.796 0.746
```

Top 8 peaks for 5° ≤ 2θ ≤ 70°, by intensity:
28.1 deg, I = 100
13.9 deg, I = 93
29.3 deg, I = 68
28.0 deg, I = 61
29.6 deg, I = 58
44.8 deg, I = 58
44.6 deg, I = 54
23.9 deg, I = 45